Record 1
Theoretical XRD peak list
Compound: GaHSeO4
Radiation: CuKα
Structure: a DFT-relaxed cell (PBE, the Materials Project)

Most intense lines, 10° ≤ 2θ ≤ 90°, in order of rising 2θ:
- 2θ = 14.74°, 6.009 Å, I 31.2
- 2θ = 20.65°, 4.302 Å, I 48.5
- 2θ = 25.45°, 3.500 Å, I 65.3
- 2θ = 29.72°, 3.006 Å, I 100.0
- 2θ = 32.66°, 2.742 Å, I 25.6
- 2θ = 36.00°, 2.495 Å, I 52.1
- 2θ = 52.29°, 1.750 Å, I 53.2
- 2θ = 69.60°, 1.351 Å, I 19.9

Cell and atoms:
a = 12.018 Å, b = 6.162 Å, c = 4.547 Å
α = 90.00°, β = 90.00°, γ = 90.00°
Sites, in units of the cell vectors:
Ga 0.000 0.000 0.000
Ga 0.000 0.500 0.000
Ga 0.500 0.000 0.500
Ga 0.500 0.500 0.500
H 0.085 0.250 0.390
H 0.415 0.750 0.890
H 0.585 0.250 0.110
H 0.915 0.750 0.610
Se 0.169 0.750 0.521
Se 0.331 0.250 0.021
Se 0.669 0.750 0.979
Se 0.831 0.250 0.479
O 0.056 0.750 0.256
O 0.080 0.250 0.174
O 0.131 0.528 0.725
O 0.131 0.972 0.725
O 0.369 0.028 0.225
O 0.369 0.472 0.225
O 0.420 0.750 0.674
O 0.444 0.250 0.756
O 0.556 0.750 0.244
O 0.580 0.250 0.326
O 0.631 0.528 0.775
O 0.631 0.972 0.775
O 0.869 0.028 0.275
O 0.869 0.472 0.275
O 0.920 0.750 0.826
O 0.944 0.250 0.744

Record 2
Theoretical XRD peak list
Compound: Ga2Te3H6O12
Radiation: CuKα
Structure: a DFT-relaxed cell (PBE, the Materials Project)

Most intense lines, 10° ≤ 2θ ≤ 90°, in order of rising 2θ:
- 2θ = 13.84°, 6.398 Å, I 68.7
- 2θ = 23.24°, 3.827 Å, I 100.0
- 2θ = 26.49°, 3.364 Å, I 30.3
- 2θ = 27.89°, 3.199 Å, I 89.6
- 2θ = 29.92°, 2.987 Å, I 36.7
- 2θ = 33.72°, 2.658 Å, I 56.7
- 2θ = 36.34°, 2.472 Å, I 29.7
- 2θ = 52.48°, 1.744 Å, I 34.4

Cell and atoms:
a = 8.700 Å, b = 8.700 Å, c = 8.700 Å
α = 66.59°, β = 66.59°, γ = 66.59°
Sites, in units of the cell vectors:
Ga 0.000 0.000 0.000
Ga 0.246 0.246 0.246
Ga 0.500 0.500 0.500
Ga 0.746 0.746 0.746
Te 0.219 0.849 0.309
Te 0.309 0.219 0.849
Te 0.349 0.719 0.809
Te 0.719 0.809 0.349
Te 0.809 0.349 0.719
Te 0.849 0.309 0.219
H 0.040 0.764 0.757
H 0.080 0.591 0.218
H 0.091 0.580 0.718
H 0.218 0.080 0.591
H 0.257 0.264 0.540
H 0.264 0.540 0.257
H 0.540 0.257 0.264
H 0.580 0.718 0.091
H 0.591 0.218 0.080
H 0.718 0.091 0.580
H 0.757 0.040 0.764
H 0.764 0.757 0.040
O 0.008 0.224 0.354
O 0.084 0.212 0.873
O 0.138 0.906 0.791
O 0.170 0.494 0.271
O 0.212 0.873 0.084
O 0.224 0.354 0.008
O 0.271 0.170 0.494
O 0.291 0.406 0.638
O 0.354 0.008 0.224
O 0.373 0.712 0.584
O 0.406 0.638 0.291
O 0.494 0.271 0.170
O 0.508 0.854 0.724
O 0.584 0.373 0.712
O 0.638 0.291 0.406
O 0.670 0.771 0.994
O 0.712 0.584 0.373
O 0.724 0.508 0.854
O 0.771 0.994 0.670
O 0.791 0.138 0.906
O 0.854 0.724 0.508
O 0.873 0.084 0.212
O 0.906 0.791 0.138
O 0.994 0.670 0.771

Record 3
Theoretical XRD peak list
Compound: Rb8Ga5H15
Radiation: CuKα
Structure: a DFT-relaxed cell (PBE, the Materials Project)

Most intense lines, 10° ≤ 2θ ≤ 90°, in order of rising 2θ:
- 2θ = 23.02°, 3.864 Å, I 28.2
- 2θ = 25.91°, 3.438 Å, I 22.5
- 2θ = 27.52°, 3.242 Å, I 100.0
- 2θ = 30.01°, 2.978 Å, I 23.1
- 2θ = 31.42°, 2.847 Å, I 18.1
- 2θ = 45.70°, 1.985 Å, I 44.9
- 2θ = 54.18°, 1.693 Å, I 32.3
- 2θ = 84.54°, 1.146 Å, I 14.5

Cell and atoms:
a = 11.911 Å, b = 11.911 Å, c = 11.911 Å
α = 60.00°, β = 60.00°, γ = 60.00°
Sites, in units of the cell vectors:
Rb 0.000 0.000 0.000
Rb 0.000 0.000 0.500
Rb 0.000 0.500 0.000
Rb 0.203 0.203 0.547
Rb 0.203 0.547 0.203
Rb 0.203 0.547 0.547
Rb 0.453 0.453 0.797
Rb 0.453 0.797 0.453
Rb 0.453 0.797 0.797
Rb 0.500 0.000 0.000
Rb 0.547 0.203 0.203
Rb 0.547 0.203 0.547
Rb 0.547 0.547 0.203
Rb 0.797 0.453 0.453
Rb 0.797 0.453 0.797
Rb 0.797 0.797 0.453
Ga 0.125 0.125 0.125
Ga 0.130 0.790 0.790
Ga 0.210 0.210 0.210
Ga 0.210 0.210 0.870
Ga 0.210 0.870 0.210
Ga 0.790 0.130 0.790
Ga 0.790 0.790 0.130
Ga 0.790 0.790 0.790
Ga 0.870 0.210 0.210
Ga 0.875 0.875 0.875
H 0.000 0.500 0.500
H 0.095 0.279 0.795
H 0.095 0.331 0.279
H 0.095 0.795 0.331
H 0.205 0.669 0.905
H 0.205 0.721 0.669
H 0.205 0.905 0.721
H 0.279 0.095 0.331
H 0.279 0.331 0.795
H 0.279 0.795 0.095
H 0.331 0.095 0.795
H 0.331 0.279 0.095
H 0.331 0.795 0.279
H 0.375 0.375 0.375
H 0.500 0.000 0.500
H 0.500 0.500 0.000
H 0.500 0.500 0.500
H 0.625 0.625 0.625
H 0.669 0.205 0.721
H 0.669 0.721 0.905
H 0.669 0.905 0.205
H 0.721 0.205 0.905
H 0.721 0.669 0.205
H 0.721 0.905 0.669
H 0.795 0.095 0.279
H 0.795 0.279 0.331
H 0.795 0.331 0.095
H 0.905 0.205 0.669
H 0.905 0.669 0.721
H 0.905 0.721 0.205

Record 4
Theoretical XRD peak list
Compound: RbGaH2
Radiation: CuKα
Structure: a DFT-relaxed cell (PBE, the Materials Project)

Most intense lines, 10° ≤ 2θ ≤ 90°, in order of rising 2θ:
- 2θ = 15.06°, 5.885 Å, I 38.5
- 2θ = 21.67°, 4.101 Å, I 44.2
- 2θ = 22.12°, 4.019 Å, I 43.6
- 2θ = 29.68°, 3.010 Å, I 74.9
- 2θ = 30.57°, 2.924 Å, I 70.1
- 2θ = 30.97°, 2.888 Å, I 100.0
- 2θ = 36.55°, 2.459 Å, I 43.3
- 2θ = 50.70°, 1.801 Å, I 40.2

Cell and atoms:
a = 7.482 Å, b = 4.543 Å, c = 9.530 Å
α = 90.00°, β = 90.00°, γ = 90.00°
Sites, in units of the cell vectors:
Rb 0.119 0.250 0.173
Rb 0.381 0.750 0.673
Rb 0.619 0.250 0.327
Rb 0.881 0.750 0.827
Ga 0.064 0.250 0.534
Ga 0.436 0.750 0.034
Ga 0.564 0.250 0.966
Ga 0.936 0.750 0.466
H 0.104 0.250 0.707
H 0.220 0.750 0.982
H 0.280 0.250 0.482
H 0.396 0.750 0.207
H 0.604 0.250 0.793
H 0.720 0.750 0.518
H 0.780 0.250 0.018
H 0.896 0.750 0.293

Record 5
Theoretical XRD peak list
Compound: SrGa2H2
Radiation: CuKα
Structure: a DFT-relaxed cell (PBE, the Materials Project)

Most intense lines, 10° ≤ 2θ ≤ 90°, in order of rising 2θ:
- 2θ = 30.17°, 2.962 Å, I 100.0
- 2θ = 38.44°, 2.342 Å, I 16.1
- 2θ = 40.88°, 2.208 Å, I 47.1
- 2θ = 51.64°, 1.770 Å, I 21.8
- 2θ = 57.36°, 1.606 Å, I 29.1
- 2θ = 64.46°, 1.445 Å, I 11.8
- 2θ = 67.87°, 1.381 Å, I 18.9
- 2θ = 87.04°, 1.120 Å, I 11.1

Cell and atoms:
a = 4.415 Å, b = 4.415 Å, c = 4.684 Å
α = 90.00°, β = 90.00°, γ = 120.00°
Sites, in units of the cell vectors:
Sr 0.000 0.000 0.000
Ga 0.333 0.667 0.537
Ga 0.667 0.333 0.463
H 0.333 0.667 0.901
H 0.667 0.333 0.099

Record 6
Theoretical XRD peak list
Compound: SrGaH4
Radiation: CuKα
Structure: a DFT-relaxed cell (PBE, the Materials Project)

Most intense lines, 10° ≤ 2θ ≤ 90°, in order of rising 2θ:
- 2θ = 24.46°, 3.639 Å, I 34.8
- 2θ = 25.95°, 3.434 Å, I 22.2
- 2θ = 30.22°, 2.957 Å, I 100.0
- 2θ = 31.46°, 2.844 Å, I 27.5
- 2θ = 38.03°, 2.366 Å, I 30.2
- 2θ = 40.99°, 2.202 Å, I 31.7
- 2θ = 41.09°, 2.197 Å, I 16.7
- 2θ = 59.44°, 1.555 Å, I 19.8

Cell and atoms:
a = 8.787 Å, b = 4.736 Å, c = 7.461 Å
α = 90.00°, β = 90.00°, γ = 90.00°
Sites, in units of the cell vectors:
Sr 0.005 0.250 0.249
Sr 0.495 0.750 0.749
Sr 0.505 0.250 0.251
Sr 0.995 0.750 0.751
Ga 0.243 0.250 0.604
Ga 0.257 0.750 0.104
Ga 0.743 0.250 0.896
Ga 0.757 0.750 0.396
H 0.039 0.250 0.578
H 0.054 0.750 0.080
H 0.244 0.514 0.748
H 0.244 0.986 0.748
H 0.256 0.014 0.248
H 0.256 0.486 0.248
H 0.446 0.250 0.580
H 0.461 0.750 0.078
H 0.539 0.250 0.922
H 0.554 0.750 0.420
H 0.744 0.514 0.752
H 0.744 0.986 0.752
H 0.756 0.014 0.252
H 0.756 0.486 0.252
H 0.946 0.250 0.920
H 0.961 0.750 0.422

Record 7
Theoretical XRD peak list
Compound: Hf3Ga
Radiation: CuKα
Structure: a DFT-relaxed cell (PBE, the Materials Project)

Most intense lines, 10° ≤ 2θ ≤ 90°, in order of rising 2θ:
- 2θ = 35.98°, 2.496 Å, I 100.0
- 2θ = 39.25°, 2.295 Å, I 19.7
- 2θ = 43.01°, 2.103 Å, I 30.5
- 2θ = 59.63°, 1.551 Å, I 23.3
- 2θ = 62.45°, 1.487 Å, I 10.1
- 2θ = 69.03°, 1.361 Å, I 15.1
- 2θ = 74.24°, 1.278 Å, I 24.5
- 2θ = 76.30°, 1.248 Å, I 11.4

Cell and atoms:
a = 4.206 Å, b = 4.206 Å, c = 9.181 Å
α = 90.00°, β = 90.00°, γ = 90.00°
Sites, in units of the cell vectors:
Hf 0.000 0.000 0.000
Hf 0.000 0.500 0.250
Hf 0.000 0.500 0.750
Hf 0.500 0.000 0.250
Hf 0.500 0.000 0.750
Hf 0.500 0.500 0.500
Ga 0.000 0.000 0.500
Ga 0.500 0.500 0.000